[1]
# BaLi2Sb3
Theoretical powder diffraction line list, Cu Kα, 1.54184 Å. Input: a GGA-PBE-relaxed structure.
Lines closer than 0.1° are merged.

Peak list (8 most intense, 2θ = 10–90°, most intense first)
Position (°2θ), Rel. int.
26.54, 100.0
36.71, 53.7
32.30, 46.0
28.99, 28.5
25.70, 21.8
60.14, 19.9
45.35, 18.5
28.83, 18.5

Structural model:
```
BaLi2Sb3
1.0
-2.4478 2.4478 13.8667
2.4478 -2.4478 13.8667
2.4478 2.4478 -13.8667
Ba Li Sb
2 4 6
Cartesian
0.0000 0.0000 4.2782
0.0000 0.0000 23.4552
2.4478 0.0000 6.9333
0.0000 0.0000 11.1521
0.0000 0.0000 16.5813
0.0000 2.4478 6.9333
2.4478 0.0000 1.4021
0.0000 0.0000 8.4683
2.4478 0.0000 12.4645
0.0000 2.4478 1.4021
0.0000 0.0000 19.2651
0.0000 2.4478 12.4645
```

[2]
# Er2Al2SiRh5
Theoretical powder diffraction line list, Cu Kα, 1.54184 Å. Input: a GGA-PBE-relaxed structure.
Lines closer than 0.1° are merged.

Peak list (8 most intense, 2θ = 10–90°, most intense first)
Position (°2θ), Rel. int.
39.53, 100.0
37.71, 84.0
33.63, 66.1
38.84, 39.9
68.44, 28.8
42.74, 28.7
32.33, 25.2
54.81, 20.6

Structural model:
```
Er2Al2SiRh5
1.0
9.8366 0.0000 0.0000
0.0000 9.8366 0.0000
0.0000 0.0000 3.3501
Er Al Si Rh
4 4 2 10
Cartesian
1.6986 3.2197 0.0000
3.2197 8.1380 0.0000
6.6169 1.6986 0.0000
8.1380 6.6169 0.0000
1.2496 6.1678 0.0000
3.6687 1.2496 0.0000
6.1678 8.5870 0.0000
8.5870 3.6687 0.0000
0.0000 0.0000 0.0000
4.9183 4.9183 0.0000
0.0000 4.9183 1.6750
0.6302 7.8983 1.6750
1.9383 0.6302 1.6750
2.9800 5.5485 1.6750
4.2881 2.9800 1.6750
4.9183 0.0000 1.6750
5.5485 6.8565 1.6750
6.8565 4.2881 1.6750
7.8983 9.2064 1.6750
9.2064 1.9383 1.6750
```

[3]
# Pm3Si2Br2
Theoretical powder diffraction line list, Cu Kα, 1.54184 Å. Input: a GGA-PBE-relaxed structure.
Lines closer than 0.1° are merged.

Peak list (8 most intense, 2θ = 10–90°, most intense first)
Position (°2θ), Rel. int.
29.77, 100.0
29.07, 55.5
40.88, 40.1
22.38, 26.1
12.94, 23.1
43.36, 20.1
43.60, 18.4
43.20, 18.1

Structural model:
```
Pm3Si2Br2
1.0
4.1515 0.0000 0.0000
2.0501 7.0029 0.0000
0.0072 1.6571 7.6437
Pm Si Br
3 2 2
Cartesian
0.0000 0.0000 0.0000
2.0615 4.9129 5.8829
4.1473 3.7470 1.7608
2.0751 1.8974 0.8197
4.1337 6.7625 6.8240
2.0674 5.7251 2.8478
4.1414 2.9348 4.7959
```

[4]
# PmHo2Zr3N6
Theoretical powder diffraction line list, Cu Kα, 1.54184 Å. Input: a GGA-PBE-relaxed structure.
Lines closer than 0.1° are merged.

Peak list (8 most intense, 2θ = 10–90°, most intense first)
Position (°2θ), Rel. int.
37.75, 100.0
32.62, 96.7
54.22, 33.6
32.28, 33.4
54.67, 33.0
64.93, 28.1
68.35, 16.4
64.53, 14.4

Structural model:
```
PmHo2Zr3N6
1.0
2.9097 -5.0329 0.0000
2.9097 5.0329 0.0000
-1.9429 0.0000 5.5465
Pm Ho Zr N
1 2 3 6
Cartesian
0.0000 0.0000 0.0000
2.9097 1.6795 0.0000
2.9097 -1.6795 0.0000
1.9382 3.3414 2.7732
1.9382 0.0000 2.7732
1.9382 -3.3414 2.7732
0.9929 1.7198 1.4952
0.0447 0.0000 4.0465
0.9929 -1.7198 1.4952
2.8836 1.7198 4.0512
3.8318 0.0000 1.5000
2.8836 -1.7198 4.0512
```

[5]
# Dy4YIr4
Theoretical powder diffraction line list, Cu Kα, 1.54184 Å. Input: a GGA-PBE-relaxed structure.
Lines closer than 0.1° are merged.

Peak list (8 most intense, 2θ = 10–90°, most intense first)
Position (°2θ), Rel. int.
31.94, 100.0
33.25, 52.8
49.11, 34.3
39.13, 33.5
44.34, 29.9
45.79, 29.5
14.13, 22.9
40.00, 19.0

Structural model:
```
Dy4YIr4
1.0
8.8616 0.0000 0.0000
0.0000 8.8616 0.0000
0.0000 0.0000 5.6568
Dy Y Ir
8 2 8
Cartesian
0.6764 5.8617 0.7790
1.4309 8.1851 3.6073
2.9998 5.1072 3.6073
3.7543 7.4306 0.7790
5.1072 1.4309 4.8778
5.8617 3.7543 2.0494
7.4306 0.6764 2.0494
8.1851 2.9998 4.8778
2.2154 2.2154 1.4142
6.6462 6.6462 4.2426
0.2407 5.4888 3.6100
1.0581 8.6209 0.7817
3.3727 4.6715 0.7817
4.1901 7.8035 3.6100
4.6715 1.0581 2.0467
5.4888 4.1901 4.8751
7.8035 0.2407 4.8751
8.6209 3.3727 2.0467
```

[6]
# Pu5Te5H2
Theoretical powder diffraction line list, Cu Kα, 1.54184 Å. Input: a GGA-PBE-relaxed structure.
Lines closer than 0.1° are merged.

Peak list (8 most intense, 2θ = 10–90°, most intense first)
Position (°2θ), Rel. int.
29.00, 100.0
34.45, 44.2
28.75, 33.4
42.04, 24.4
32.13, 22.9
11.62, 20.6
38.85, 18.3
51.73, 13.4

Structural model:
```
Pu5Te5H2
1.0
7.6271 -2.1490 0.0000
7.6271 2.1490 0.0000
-0.5892 0.0000 9.9212
Pu Te H
5 5 2
Cartesian
0.0000 0.0000 0.0000
1.5507 0.0000 6.4826
5.8723 0.0000 7.6373
8.7927 0.0000 2.2839
13.1143 0.0000 3.4387
3.0603 0.0000 3.4722
5.6888 0.0000 0.9635
7.3325 0.0000 4.9606
8.9761 0.0000 8.9577
11.6046 0.0000 6.4490
0.0944 0.0000 2.2973
14.5705 0.0000 7.6240
```

[7]
# Ti4Te9I4O
Theoretical powder diffraction line list, Cu Kα, 1.54184 Å. Input: a GGA-PBE-relaxed structure.
Lines closer than 0.1° are merged.

Peak list (8 most intense, 2θ = 10–90°, most intense first)
Position (°2θ), Rel. int.
30.60, 100.0
23.97, 97.9
27.74, 85.0
23.35, 76.9
26.47, 55.2
27.54, 52.2
37.43, 50.8
32.16, 37.1

Structural model:
```
Ti4Te9I4O
1.0
11.6094 -3.1716 0.0000
11.6094 3.1716 0.0000
-11.0708 0.0000 16.9212
Ti Te I O
8 18 8 2
Cartesian
-2.4995 0.3806 6.0863
-8.0349 -0.3806 14.5469
1.4372 1.0668 12.9602
5.1754 1.0668 12.4216
6.9726 -1.0668 4.4996
10.7108 -1.0668 3.9610
20.1829 0.3806 2.3743
14.6475 -0.3806 10.8349
-0.2175 0.1055 2.1273
-5.7529 -0.1055 10.5879
0.2688 0.1024 5.5357
-5.2666 -0.1024 13.9963
1.1998 0.7888 10.1475
8.8417 1.2409 4.2303
4.6043 0.7909 9.6565
2.0082 0.7909 15.7253
6.7352 -0.7888 1.6870
5.4128 0.7888 15.2342
10.1398 -0.7909 1.1959
7.5437 -0.7909 7.2647
3.3063 -1.2409 12.6909
10.9482 -0.7888 6.7736
17.4146 0.1024 2.9248
11.8792 -0.1024 11.3854
17.9009 0.1055 6.3333
12.3655 -0.1055 14.7939
8.2579 2.0511 0.0899
4.7091 0.4490 4.8279
9.4255 2.0511 8.3707
-0.8263 -0.4490 13.2885
12.9743 0.4490 3.6327
2.7225 -2.0511 8.5505
7.4389 -0.4490 12.0933
3.8901 -2.0511 16.8313
3.3063 1.9253 12.6909
8.8417 -1.9253 4.2303
```